Record 1
Structure and simulated X-ray powder pattern of AgB2O4 (DFT lattice parameters and positions (GGA-PBE); Cu Kα (λ = 1.5418 Å)).
Intensities are scaled so that the largest is 100.

Crystal structure
```
AgB2O4
1.0
0.000 5.735 5.440
3.373 0.000 5.440
3.373 5.735 0.000
Ag B O
2 4 8
direct
0.000 0.000 0.000
0.250 0.250 0.250
0.101 0.617 0.655
0.595 0.623 0.149
0.617 0.101 0.627
0.623 0.595 0.633
0.266 0.424 0.474
0.414 0.776 0.826
0.415 0.831 0.313
0.424 0.266 0.836
0.776 0.414 0.984
0.808 0.937 0.419
0.831 0.415 0.442
0.937 0.808 0.835
```

Largest 6 diffraction maxima, by angle, 10° ≤ 2θ ≤ 90°:
2theta  d (Å)  I/Imax
17.3  5.128  100
22.5  3.947  97
28.1  3.181  95
29.0  3.077  92
30.8  2.907  40
31.2  2.867  37

---

Record 2
Structure and simulated X-ray powder pattern of Tb2Ga3Sn3 (DFT lattice parameters and positions (GGA-PBE); Cu Kα (λ = 1.5418 Å)).
Intensities are scaled so that the largest is 100.

Crystal structure
```
Tb2Ga3Sn3
1.0
4.344 0.000 0.000
0.000 4.447 0.000
0.000 0.000 9.518
Tb Ga Sn
2 3 3
direct
0.000 0.000 0.243
0.000 0.000 0.757
0.500 0.000 0.000
0.500 0.500 0.233
0.500 0.500 0.767
0.000 0.500 0.000
0.000 0.500 0.500
0.500 0.000 0.500
```

Largest 6 diffraction maxima, by angle, 10° ≤ 2θ ≤ 90°:
2theta  d (Å)  I/Imax
34.5  2.602  100
37.8  2.380  19
40.6  2.224  16
41.6  2.172  15
66.1  1.413  14
69.9  1.346  13

---

Record 3
Structure and simulated X-ray powder pattern of Ba3U2Br2N5 (DFT lattice parameters and positions (GGA-PBE); Cu Kα (λ = 1.5418 Å)).
Intensities are scaled so that the largest is 100.

Crystal structure
```
Ba3U2Br2N5
1.0
-2.209 2.209 13.394
2.209 -2.209 13.394
2.209 2.209 -13.394
Ba U Br N
3 2 2 5
direct
0.000 0.000 0.000
0.155 0.155 0.000
0.845 0.845 0.000
0.420 0.420 0.000
0.580 0.580 0.000
0.298 0.298 0.000
0.702 0.702 0.000
0.087 0.587 0.500
0.413 0.913 0.500
0.500 0.500 0.000
0.587 0.087 0.500
0.913 0.413 0.500
```

Largest 6 diffraction maxima, by angle, 10° ≤ 2θ ≤ 90°:
2theta  d (Å)  I/Imax
26.1  3.409  24
28.6  3.125  70
30.9  2.893  100
40.8  2.209  33
52.1  1.756  47
67.0  1.397  13

---

Record 4
Structure and simulated X-ray powder pattern of Tb2Be6Pt9 (DFT lattice parameters and positions (GGA-PBE); Cu Kα (λ = 1.5418 Å)).
Intensities are scaled so that the largest is 100.

Crystal structure
```
Tb2Be6Pt9
1.0
5.516 0.000 0.000
-2.758 4.777 0.000
0.000 0.000 10.163
Tb Be Pt
2 6 9
direct
0.000 0.000 0.190
0.000 0.000 0.810
0.333 0.667 0.166
0.333 0.667 0.500
0.333 0.667 0.834
0.667 0.333 0.166
0.667 0.333 0.500
0.667 0.333 0.834
0.000 0.500 0.000
0.000 0.500 0.334
0.000 0.500 0.666
0.500 0.000 0.000
0.500 0.000 0.334
0.500 0.000 0.666
0.500 0.500 0.000
0.500 0.500 0.334
0.500 0.500 0.666
```

Largest 6 diffraction maxima, by angle, 10° ≤ 2θ ≤ 90°:
2theta  d (Å)  I/Imax
26.3  3.388  40
32.4  2.763  54
37.7  2.389  100
42.3  2.139  29
46.5  1.952  58
67.8  1.382  32

---

Record 5
Structure and simulated X-ray powder pattern of LiBePd6 (DFT lattice parameters and positions (GGA-PBE); Cu Kα (λ = 1.5418 Å)).
Intensities are scaled so that the largest is 100.

Crystal structure
```
LiBePd6
1.0
4.344 2.508 1.826
-4.344 2.508 1.826
0.000 -5.016 1.826
Li Be Pd
1 1 6
direct
0.000 0.000 0.000
0.500 0.500 0.500
0.247 0.247 0.722
0.247 0.722 0.247
0.278 0.753 0.753
0.722 0.247 0.247
0.753 0.278 0.753
0.753 0.753 0.278
```

Largest 6 diffraction maxima, by angle, 10° ≤ 2θ ≤ 90°:
2theta  d (Å)  I/Imax
20.4  4.344  62
40.7  2.214  100
41.6  2.172  99
46.0  1.973  20
59.6  1.551  30
75.3  1.262  28

---

Record 6
Structure and simulated X-ray powder pattern of AlFeH6 (DFT lattice parameters and positions (GGA-PBE); Cu Kα (λ = 1.5418 Å)).
Intensities are scaled so that the largest is 100.

Crystal structure
```
AlFeH6
1.0
3.029 0.000 0.000
-0.003 4.104 0.000
-1.444 -0.942 4.635
Al Fe H
1 1 6
direct
0.000 0.000 0.000
0.500 0.500 0.000
0.200 0.285 0.694
0.404 0.773 0.799
0.486 0.714 0.305
0.514 0.286 0.695
0.596 0.227 0.201
0.800 0.715 0.306
```

Largest 6 diffraction maxima, by angle, 10° ≤ 2θ ≤ 90°:
2theta  d (Å)  I/Imax
19.1  4.635  100
37.2  2.418  18
37.3  2.408  18
39.4  2.284  15
39.8  2.267  14
45.0  2.013  18